Structure and calculated powder X-ray diffraction pattern of TbSm2Sn3 (a cell relaxed with PBE; Cu Kα (weighted mean of Kα1 and Kα2)).
Peak positions follow from Bragg's law for the DFT cell and can differ from measured ones.

The 12 most intense peaks (10 to 90 degrees two-theta), by intensity:
| 2theta | d_spacing | I/Imax |
| --- | --- | --- |
| 28.34 | 3.149 | 100 |
| 40.49 | 2.228 | 65 |
| 66.38 | 1.408 | 25 |
| 50.10 | 1.821 | 14 |
| 50.25 | 1.816 | 14 |
| 73.58 | 1.287 | 14 |
| 73.79 | 1.284 | 14 |
| 58.63 | 1.575 | 13 |
| 40.60 | 2.222 | 13 |
| 66.25 | 1.411 | 6 |
| 66.50 | 1.406 | 6 |
| 87.64 | 1.113 | 6 |

Cell and atoms:
abc: 4.444 6.298 13.390
angles: 90.00 90.00 90.00
Space group Immm (No. 71)
Symmetry-distinct sites (fractional):
Tb 0.000 0.000 0.000 x2
Sm 0.000 0.000 0.332 x4
Sn 0.000 0.500 0.000 x2
Sn 0.000 0.500 0.336 x4